Starting from a DFT-relaxed cell (PBE+U, Alexandria), the powder X-ray diffraction pattern of CsNb2VO8 was simulated for Cu Kα (λ = 1.5418 Å).

Peak list (10 most intense, 10° ≤ 2θ ≤ 90°, in order of falling intensity)
2θ/deg, I/Imax, index
20.82, 1000, 1 0 1
27.70, 819, 0 1 2
31.41, 571, 1 1 0
53.68, 260, 3 -2 2
42.36, 224, 2 0 2
50.08, 208, 2 1 1
37.99, 178, 0 2 1
57.24, 169, 0 2 4
46.52, 155, 1 0 4
17.98, 147, 1 0 0

```
CsNb2VO8
1.0
5.696 0.000 0.000
-2.848 4.933 0.000
0.000 0.000 8.503
Cs Nb V O
1 2 1 8
direct
0.000 0.000 0.000
0.333 0.667 0.694
0.667 0.333 0.306
0.000 0.000 0.500
0.091 0.303 0.629
0.212 0.909 0.629
0.303 0.212 0.371
0.333 0.667 0.904
0.667 0.333 0.096
0.697 0.788 0.629
0.788 0.091 0.371
0.909 0.697 0.371
```